(1)
For Sr2MgMnO4, DFT lattice parameters and positions (GGA+U) gives the computed powder diffractogram in this record (a wavelength of 1.5418 Å).
Intensities are scaled so that the largest is 100.

```
data_Sr2MgMnO4
_chemical_formula_sum 'Sr4 Mg2 Mn2 O8'
_space_group_name_H-M_alt 'I -4 m 2'
_space_group_IT_number 119
_space_group_name_Hall 'I -4 -2'
_cell_length_a 3.966
_cell_length_b 3.966
_cell_length_c 15.363
_cell_angle_alpha 90.00
_cell_angle_beta 90.00
_cell_angle_gamma 90.00
loop_
_atom_site_label
_atom_site_fract_x
_atom_site_fract_y
_atom_site_fract_z
Sr1 0.000 0.000 0.111
Mg1 0.000 0.500 0.250
Mn1 0.000 0.000 0.500
O1 0.000 0.000 0.305
O2 0.000 0.500 0.019
```

Most intense lines, 2θ from 10° to 80°, by angle:
d (Å)  I_rel  (hkl)
7.682  31  0 0 2
3.840  29  1 0 1
3.136  40  1 0 3
2.804  48  1 1 0
2.429  100  1 0 5
2.265  30  1 1 4
1.983  41  2 0 0
1.676  13  2 1 3
1.536  48  2 1 5
1.214  16  3 0 5

---

(2)
For SrYCoO4, DFT lattice parameters and positions (GGA+U) gives the computed powder diffractogram in this record (a wavelength of 1.5418 Å).
Intensities are scaled so that the largest is 100.

```
data_SrYCoO4
_chemical_formula_sum 'Sr2 Y2 Co2 O8'
_space_group_name_H-M_alt 'I 4 m m'
_space_group_IT_number 107
_space_group_name_Hall 'I 4 -2'
_cell_length_a 3.781
_cell_length_b 3.781
_cell_length_c 12.297
_cell_angle_alpha 90.00
_cell_angle_beta 90.00
_cell_angle_gamma 90.00
loop_
_atom_site_label
_atom_site_fract_x
_atom_site_fract_y
_atom_site_fract_z
Sr1 0.000 0.000 0.000
Y1 0.000 0.000 0.716
Co1 0.000 0.000 0.356
O1 0.000 0.000 0.193
O2 0.000 0.000 0.535
O3 0.000 0.500 0.343
```

Most intense lines, 2θ from 10° to 80°, by angle:
d (Å)  I_rel  (hkl)
2.779  100  1 0 3
2.674  74  1 1 0
2.062  19  1 0 5
2.049  14  0 0 6
2.018  22  1 1 4
1.891  40  2 0 0
1.627  16  1 1 6
1.563  36  2 1 3
1.390  14  2 0 6
1.337  12  2 2 0

---

(3)
For Ba2ReNiO6, DFT lattice parameters and positions (GGA+U) gives the computed powder diffractogram in this record (a wavelength of 1.5418 Å).
Intensities are scaled so that the largest is 100.

```
data_Ba2ReNiO6
_chemical_formula_sum 'Ba8 Re4 Ni4 O24'
_space_group_name_H-M_alt 'F m -3 m'
_space_group_IT_number 225
_space_group_name_Hall '-F 4 2 3'
_cell_length_a 8.156
_cell_length_b 8.156
_cell_length_c 8.156
_cell_angle_alpha 90.00
_cell_angle_beta 90.00
_cell_angle_gamma 90.00
loop_
_atom_site_label
_atom_site_fract_x
_atom_site_fract_y
_atom_site_fract_z
Ba1 0.250 0.250 0.250
Re1 0.000 0.000 0.000
Ni1 0.000 0.000 0.500
O1 0.000 0.000 0.239
```

Most intense lines, 2θ from 10° to 80°, by angle:
d (Å)  I_rel  (hkl)
4.709  15  1 1 1
2.884  100  2 2 0
2.459  8  3 1 1
2.039  29  4 0 0
1.871  3  3 3 1
1.665  40  4 2 2
1.570  3  5 1 1
1.442  18  4 4 0
1.379  3  5 3 1
1.290  17  6 2 0

---

(4)
For Li3FePCO7, DFT lattice parameters and positions (GGA+U) gives the computed powder diffractogram in this record (a wavelength of 1.5418 Å).
Intensities are scaled so that the largest is 100.

```
data_Li3FePCO7
_chemical_formula_sum 'Li12 Fe4 P4 C4 O28'
_space_group_name_H-M_alt 'P 1 21/c 1'
_space_group_IT_number 14
_cell_length_a 8.578
_cell_length_b 6.441
_cell_length_c 9.777
_cell_angle_alpha 90.00
_cell_angle_beta 95.04
_cell_angle_gamma 90.00
loop_
_space_group_symop_operation_xyz
'x,y,z'
'-x,-y,-z'
'-x,y+1/2,-z+1/2'
'x,-y+1/2,z+1/2'
loop_
_atom_site_label
_atom_site_fract_x
_atom_site_fract_y
_atom_site_fract_z
Li1 0.103 0.250 0.113
Li2 0.286 0.014 0.382
Li3 0.354 0.744 0.109
Fe1 0.267 0.501 0.371
P1 0.408 0.248 0.640
C1 0.041 0.746 0.149
O1 0.070 0.743 0.523
O2 0.105 0.246 0.817
O3 0.153 0.730 0.248
O4 0.308 0.060 0.589
O5 0.313 0.058 0.082
O6 0.420 0.248 0.300
O7 0.424 0.745 0.908
```

Most intense lines, 2θ from 10° to 80°, by angle:
d (Å)  I_rel  (hkl)
8.545  33  1 0 0
5.372  47  0 1 1
4.651  49  1 1 -1
4.452  34  1 1 1
3.633  30  1 1 -2
3.560  29  2 1 0
3.446  44  1 1 2
2.571  100  2 2 0
2.435  25  0 0 4
1.780  24  4 2 0